Entry 1:
Calculated powder X-ray diffraction pattern of Sn4TeSe3 for a wavelength of 1.5418 Å, from a structure optimized by DFT (PBE).
Kinematic intensities with the Lorentz-polarization factor, no thermal factor.

Atomic structure:
abc: 4.7175 4.2616 11.9768
angles: 90.00 90.48 90.00
Atoms (fractional coordinates):
Sn  0.0000  0.0000  0.0000
Sn  0.2040  0.5000  0.7560
Sn  0.5022  0.5000  0.2539
Sn  0.7390  0.0000  0.4894
Te  0.6361  0.0000  0.7335
Se  0.1155  0.0000  0.2281
Se  0.1220  0.5000  0.5249
Se  0.6141  0.5000  0.0273

Largest 12 diffraction maxima, in order of rising 2θ, 2θ = 15–90°:
2θ 23.92, 3.721 Å, intensity 12, (1 0 -2); 2θ 24.11, 3.691 Å, intensity 11, (1 0 2); 2θ 28.22, 3.162 Å, intensity 20, (1 1 0); 2θ 29.21, 3.057 Å, intensity 100, (1 1 1); 2θ 29.84, 2.994 Å, intensity 48, (0 0 4); 2θ 36.14, 2.486 Å, intensity 16, (1 1 -3); 2θ 36.34, 2.472 Å, intensity 17, (1 1 3); 2θ 42.43, 2.131 Å, intensity 24, (0 2 0); 2θ 44.47, 2.037 Å, intensity 11, (2 0 -3); 2θ 47.49, 1.915 Å, intensity 14, (1 1 -5); 2θ 47.76, 1.904 Å, intensity 15, (1 1 5); 2θ 52.73, 1.736 Å, intensity 20, (0 2 4)

---

Entry 2:
Calculated powder X-ray diffraction pattern of LiCdPO4 for a wavelength of 1.5418 Å, from a structure optimized by DFT (PBE).
Kinematic intensities with the Lorentz-polarization factor, no thermal factor.

Atomic structure:
abc: 10.9143 4.8663 6.3863
angles: 90.00 90.00 90.00
Atoms (fractional coordinates):
Li  0.0029  0.0127  0.0000
Li  0.4971  0.5127  0.5000
Li  0.5029  0.4873  0.0000
Li  0.9971  0.9873  0.5000
Cd  0.2160  0.5439  0.7451
Cd  0.2840  0.0439  0.2451
Cd  0.7160  0.9561  0.7451
Cd  0.7840  0.4561  0.2451
P  0.0886  0.6044  0.2423
P  0.4114  0.1044  0.7423
P  0.5886  0.8956  0.2423
P  0.9114  0.3956  0.7423
O  0.0436  0.2737  0.7448
O  0.0923  0.2887  0.2392
O  0.1540  0.7395  0.0478
O  0.1557  0.7330  0.4375
O  0.3443  0.2330  0.9375
O  0.3460  0.2395  0.5478
O  0.4077  0.7887  0.7392
O  0.4564  0.7737  0.2448
O  0.5436  0.2263  0.7448
O  0.5923  0.2113  0.2392
O  0.6540  0.7605  0.0478
O  0.6557  0.7670  0.4375
O  0.8443  0.2670  0.9375
O  0.8460  0.2605  0.5478
O  0.9077  0.7113  0.7392
O  0.9564  0.7263  0.2448

Largest 12 diffraction maxima, in order of rising 2θ, 2θ = 15–90°:
2θ 16.24, 5.457 Å, intensity 42, (2 0 0); 2θ 19.98, 4.445 Å, intensity 22, (1 1 0); 2θ 24.40, 3.648 Å, intensity 100, (1 1 1); 2θ 27.94, 3.193 Å, intensity 47, (0 0 2); 2θ 30.68, 2.914 Å, intensity 19, (3 1 0); 2θ 33.81, 2.651 Å, intensity 67, (3 1 1); 2θ 35.79, 2.509 Å, intensity 22, (4 0 1); 2θ 37.85, 2.377 Å, intensity 16, (1 2 0); 2θ 47.35, 1.920 Å, intensity 18, (1 1 3); 2θ 50.00, 1.824 Å, intensity 22, (2 2 2); 2θ 52.33, 1.748 Å, intensity 25, (6 0 1); 2θ 53.29, 1.719 Å, intensity 17, (3 1 3)